Entry 1:
Computed XRD peak list
Compound: Ba2ZnPPt6
Radiation: a wavelength of 1.5418 Å
Structure: a DFT-relaxed cell (PBE, Alexandria)
Kinematic intensities with the Lorentz-polarization factor, no thermal factor.

The 6 most intense peaks (2θ = 10–80°), by angle:
2theta	intensity
15.2	72
30.1	86
33.1	100
33.2	49
37.8	70
39.5	42

Atomic structure:
Cell: 6.561 6.561 6.924 Å, 118.05 118.05 60.22°
Positions (direct):
Ba 0.209 0.209 0.127
Ba 0.791 0.791 0.873
Zn 0.500 0.500 0.000
P 0.000 0.000 0.500
Pt 0.243 0.656 0.643
Pt 0.244 0.244 0.643
Pt 0.344 0.757 0.357
Pt 0.656 0.243 0.643
Pt 0.756 0.756 0.357
Pt 0.757 0.344 0.357

=====

Entry 2:
Computed XRD peak list
Compound: RbAc4Tl3O12
Radiation: a wavelength of 1.5418 Å
Structure: a DFT-relaxed cell (PBE, Alexandria)
Kinematic intensities with the Lorentz-polarization factor, no thermal factor.

The 6 most intense peaks (2θ = 10–80°), by angle:
2theta	intensity
27.7	100
39.6	21
49.0	49
57.2	14
64.7	20
78.6	23

Atomic structure:
Cell: 7.887 7.887 7.887 Å, 109.47 109.47 109.47°
Positions (direct):
Rb 0.000 0.000 0.000
Ac 0.000 0.000 0.500
Ac 0.000 0.500 0.000
Ac 0.500 0.000 0.000
Ac 0.500 0.500 0.500
Tl 0.000 0.500 0.500
Tl 0.500 0.000 0.500
Tl 0.500 0.500 0.000
O 0.162 0.326 0.836
O 0.164 0.489 0.326
O 0.164 0.838 0.674
O 0.326 0.164 0.489
O 0.326 0.836 0.162
O 0.489 0.326 0.164
O 0.511 0.674 0.836
O 0.674 0.164 0.838
O 0.674 0.836 0.511
O 0.836 0.162 0.326
O 0.836 0.511 0.674
O 0.838 0.674 0.164

=====

Entry 3:
Computed XRD peak list
Compound: Tl3SCl
Radiation: a wavelength of 1.5418 Å
Structure: a DFT-relaxed cell (PBE, Alexandria)
Kinematic intensities with the Lorentz-polarization factor, no thermal factor.

The 6 most intense peaks (2θ = 10–80°), by angle:
2theta	intensity
24.1	63
27.3	100
28.0	39
28.6	55
30.3	48
32.1	63

Atomic structure:
Cell: 4.210 6.665 12.369 Å, 98.73 90.03 108.41°
Positions (direct):
Tl 0.103 0.203 0.208
Tl 0.133 0.264 0.604
Tl 0.379 0.757 0.073
Tl 0.621 0.243 0.927
Tl 0.867 0.736 0.396
Tl 0.897 0.797 0.792
S 0.250 0.500 0.850
S 0.750 0.500 0.150
Cl 0.373 0.745 0.584
Cl 0.627 0.255 0.416

=====

Entry 4:
Computed XRD peak list
Compound: CsTl2SbS4
Radiation: a wavelength of 1.5418 Å
Structure: a DFT-relaxed cell (PBE, Alexandria)
Kinematic intensities with the Lorentz-polarization factor, no thermal factor.

The 6 most intense peaks (2θ = 10–80°), by angle:
2theta	intensity
25.2	68
25.7	64
29.3	51
29.5	100
42.1	73
49.5	38

Atomic structure:
Cell: 8.585 8.585 8.585 Å, 121.19 119.21 89.66°
Positions (direct):
Cs 0.500 0.000 0.000
Cs 0.500 0.500 0.500
Tl 0.000 0.000 0.000
Tl 0.000 0.000 0.500
Tl 0.000 0.500 0.000
Tl 0.500 0.000 0.500
Sb 0.000 0.500 0.500
Sb 0.500 0.500 0.000
S 0.192 0.734 0.458
S 0.223 0.266 0.958
S 0.230 0.258 0.528
S 0.230 0.702 0.972
S 0.770 0.298 0.028
S 0.770 0.742 0.472
S 0.777 0.734 0.042
S 0.808 0.266 0.542

=====

Entry 5:
Computed XRD peak list
Compound: ScTl5
Radiation: a wavelength of 1.5418 Å
Structure: a DFT-relaxed cell (PBE, Alexandria)
Kinematic intensities with the Lorentz-polarization factor, no thermal factor.

The 6 most intense peaks (2θ = 10–80°), by angle:
2theta	intensity
28.7	22
33.6	100
34.1	38
34.8	30
61.6	18
63.7	23

Atomic structure:
Cell: 5.158 3.622 18.308 Å, 90.00 90.00 90.00°
Positions (direct):
Sc 0.000 0.000 0.000
Sc 0.000 0.500 0.500
Tl 0.000 0.000 0.339
Tl 0.000 0.000 0.653
Tl 0.000 0.500 0.153
Tl 0.000 0.500 0.839
Tl 0.500 0.000 0.214
Tl 0.500 0.000 0.538
Tl 0.500 0.000 0.889
Tl 0.500 0.500 0.038
Tl 0.500 0.500 0.389
Tl 0.500 0.500 0.714